No. 1
Starting from a cell relaxed with GGA+U, the powder diffraction line list of Li7Mn2Co3O12 was simulated for Cu Kα (weighted mean of Kα1 and Kα2).

Structure:
```
Li7Mn2Co3O12
1.0
3.031 0.000 0.000
-1.467 6.220 0.000
-1.089 -3.008 11.603
Li Mn Co O
7 2 3 12
direct
0.000 0.000 0.000
0.002 0.002 0.498
0.331 0.667 0.832
0.334 0.668 0.081
0.338 0.674 0.330
0.666 0.333 0.666
0.669 0.337 0.162
0.336 0.672 0.584
0.667 0.331 0.412
0.003 0.007 0.751
0.672 0.348 0.922
0.996 0.987 0.239
0.145 0.334 0.029
0.149 0.346 0.538
0.174 0.311 0.289
0.185 0.320 0.796
0.481 0.012 0.367
0.491 0.027 0.870
0.519 0.001 0.133
0.521 0.995 0.629
0.823 0.687 0.707
0.824 0.638 0.950
0.842 0.698 0.212
0.852 0.656 0.458
```

Principal peaks in the range 2θ from 10° to 80°, by angle:
2θ/deg	I (rel.)
14.73	9.6
18.38	100.0
33.81	20.9
36.49	11.8
36.94	13.9
40.45	38.2
44.50	27.4
45.18	25.3
61.45	9.5
61.93	8.7

No. 2
Starting from a cell relaxed with GGA+U, the powder diffraction line list of Li4MnCo3O8 was simulated for Cu Kα (weighted mean of Kα1 and Kα2).

Structure:
```
Li4MnCo3O8
1.0
3.038 0.000 0.000
-0.301 6.005 0.000
-0.168 -0.282 16.148
Li Mn Co O
8 2 6 16
direct
0.000 0.000 0.000
0.000 0.000 0.500
0.003 0.500 0.249
0.493 0.751 0.374
0.498 0.751 0.873
0.502 0.249 0.127
0.507 0.249 0.626
0.997 0.500 0.751
0.000 0.500 0.000
0.000 0.500 0.500
0.011 0.003 0.750
0.481 0.751 0.126
0.489 0.753 0.627
0.511 0.247 0.373
0.519 0.249 0.874
0.989 0.997 0.250
0.006 0.994 0.631
0.019 0.488 0.380
0.027 0.513 0.121
0.056 0.013 0.870
0.460 0.744 0.007
0.475 0.741 0.507
0.476 0.762 0.244
0.499 0.760 0.745
0.501 0.240 0.255
0.524 0.238 0.756
0.525 0.259 0.493
0.540 0.256 0.993
0.944 0.987 0.130
0.973 0.487 0.879
0.981 0.512 0.620
0.994 0.006 0.369
```

Principal peaks in the range 2θ from 10° to 80°, by angle:
2θ/deg	I (rel.)
18.26	100.0
34.26	18.9
35.79	13.8
36.84	16.8
41.23	30.5
43.46	25.4
44.91	22.9
61.08	7.7
61.81	7.6
64.99	9.3

No. 3
Starting from a cell relaxed with GGA+U, the powder diffraction line list of Li7Mn2Co3O12 was simulated for Cu Kα (weighted mean of Kα1 and Kα2).

Structure:
```
Li7Mn2Co3O12
1.0
7.567 -1.482 0.000
7.567 1.482 0.000
-2.056 0.000 9.705
Li Mn Co O
7 2 3 12
direct
0.000 0.000 0.000
0.167 0.167 0.542
0.327 0.327 0.990
0.501 0.501 0.530
0.661 0.661 0.005
0.748 0.748 0.771
0.835 0.835 0.540
0.246 0.246 0.269
0.915 0.915 0.265
0.090 0.090 0.765
0.412 0.412 0.770
0.581 0.581 0.271
0.030 0.030 0.380
0.130 0.130 0.158
0.196 0.196 0.890
0.305 0.305 0.654
0.374 0.374 0.370
0.445 0.445 0.155
0.530 0.530 0.879
0.622 0.622 0.645
0.718 0.718 0.382
0.787 0.787 0.163
0.877 0.877 0.888
0.961 0.961 0.657
```

Principal peaks in the range 2θ from 10° to 80°, by angle:
2θ/deg	I (rel.)
18.28	100.0
35.56	28.3
36.41	12.3
42.85	59.5
44.51	25.3
47.83	9.2
56.51	10.0
62.71	8.9
63.32	14.3
63.66	13.9

No. 4
Starting from a cell relaxed with GGA+U, the powder diffraction line list of Li4MnCo2O7 was simulated for Cu Kα (weighted mean of Kα1 and Kα2).

Structure:
```
Li4MnCo2O7
1.0
5.101 0.000 0.000
-1.863 5.574 0.000
-0.694 -0.508 8.565
Li Mn Co O
8 2 4 14
direct
0.000 0.000 0.000
0.003 0.501 0.002
0.146 0.289 0.283
0.288 0.572 0.577
0.427 0.854 0.865
0.578 0.153 0.141
0.717 0.427 0.432
0.864 0.716 0.721
0.144 0.784 0.285
0.433 0.361 0.862
0.289 0.073 0.575
0.573 0.643 0.144
0.718 0.932 0.433
0.861 0.216 0.718
0.024 0.767 0.498
0.150 0.506 0.789
0.165 0.047 0.783
0.303 0.812 0.092
0.313 0.336 0.067
0.409 0.095 0.367
0.429 0.634 0.350
0.554 0.382 0.649
0.595 0.912 0.636
0.691 0.666 0.936
0.705 0.195 0.914
0.856 0.493 0.219
0.863 0.942 0.227
0.982 0.233 0.508
```

Principal peaks in the range 2θ from 10° to 80°, by angle:
2θ/deg	I (rel.)
10.33	8.9
18.49	100.0
35.56	14.7
36.83	23.2
42.78	29.2
44.68	50.6
47.99	8.7
58.77	9.1
63.34	14.6
63.79	7.3

No. 5
Starting from a cell relaxed with GGA+U, the powder diffraction line list of Li7Mn4CoO12 was simulated for Cu Kα (weighted mean of Kα1 and Kα2).

Structure:
```
Li7Mn4CoO12
1.0
5.191 0.000 0.000
-1.936 5.648 0.000
-1.337 -2.260 14.746
Li Mn Co O
14 8 2 24
direct
0.000 0.000 0.000
0.060 0.675 0.575
0.089 0.170 0.578
0.246 0.499 0.749
0.252 0.998 0.750
0.408 0.322 0.920
0.435 0.826 0.926
0.500 0.500 0.500
0.565 0.174 0.074
0.592 0.678 0.080
0.748 0.002 0.250
0.754 0.501 0.251
0.911 0.830 0.422
0.940 0.325 0.425
0.159 0.334 0.165
0.173 0.840 0.164
0.333 0.666 0.337
0.345 0.169 0.337
0.655 0.831 0.663
0.667 0.334 0.663
0.827 0.160 0.836
0.841 0.666 0.835
0.000 0.500 0.000
0.500 0.000 0.500
0.054 0.356 0.290
0.079 0.998 0.866
0.080 0.834 0.291
0.112 0.469 0.878
0.222 0.682 0.454
0.239 0.154 0.455
0.256 0.351 0.045
0.297 0.841 0.050
0.386 0.025 0.620
0.416 0.496 0.633
0.422 0.668 0.210
0.450 0.150 0.212
0.550 0.850 0.788
0.578 0.332 0.790
0.584 0.504 0.367
0.614 0.975 0.380
0.703 0.159 0.950
0.744 0.649 0.955
0.761 0.846 0.545
0.778 0.318 0.546
0.888 0.531 0.122
0.920 0.166 0.709
0.921 0.002 0.134
0.946 0.644 0.710
```

Principal peaks in the range 2θ from 10° to 80°, by angle:
2θ/deg	I (rel.)
18.42	100.0
34.91	14.6
36.09	12.6
36.56	12.6
37.36	9.6
42.03	31.5
43.99	28.3
44.51	27.1
62.26	8.2
62.67	15.2

No. 6
Starting from a cell relaxed with GGA+U, the powder diffraction line list of Li4MnCo2O7 was simulated for Cu Kα (weighted mean of Kα1 and Kα2).

Structure:
```
Li4MnCo2O7
1.0
15.163 -1.430 0.000
15.163 1.430 0.000
-0.554 0.000 5.826
Li Mn Co O
8 2 4 14
direct
0.000 0.000 0.000
0.001 0.001 0.501
0.141 0.141 0.573
0.289 0.289 0.145
0.434 0.434 0.714
0.568 0.568 0.291
0.715 0.715 0.855
0.862 0.862 0.424
0.143 0.143 0.069
0.287 0.287 0.645
0.438 0.438 0.225
0.564 0.564 0.771
0.714 0.714 0.358
0.860 0.860 0.936
0.074 0.074 0.555
0.080 0.080 0.019
0.210 0.210 0.127
0.216 0.216 0.585
0.357 0.357 0.156
0.359 0.359 0.708
0.498 0.498 0.248
0.505 0.505 0.757
0.643 0.643 0.294
0.647 0.647 0.850
0.785 0.785 0.872
0.788 0.788 0.414
0.929 0.929 0.438
0.929 0.929 0.996
```

Principal peaks in the range 2θ from 10° to 80°, by angle:
2θ/deg	I (rel.)
18.33	100.0
34.73	18.2
36.47	23.2
37.13	7.2
41.89	28.9
44.28	53.9
47.47	9.0
58.25	9.6
62.59	28.0
65.24	7.7

No. 7
Starting from a cell relaxed with GGA+U, the powder diffraction line list of Li6Mn5CoO12 was simulated for Cu Kα (weighted mean of Kα1 and Kα2).

Structure:
```
Li6Mn5CoO12
1.0
5.070 0.000 0.000
2.027 4.648 0.000
1.426 0.418 10.042
Li Mn Co O
6 5 1 12
direct
0.044 0.364 0.259
0.283 0.964 0.742
0.375 0.705 0.260
0.625 0.295 0.740
0.717 0.036 0.258
0.956 0.636 0.741
0.000 0.500 0.000
0.333 0.332 0.500
0.333 0.833 0.000
0.667 0.167 0.000
0.667 0.668 0.500
0.000 0.000 0.500
0.012 0.278 0.612
0.061 0.810 0.888
0.271 0.524 0.113
0.316 0.049 0.388
0.345 0.617 0.613
0.396 0.142 0.887
0.604 0.858 0.113
0.655 0.383 0.387
0.684 0.951 0.612
0.729 0.476 0.887
0.939 0.190 0.112
0.988 0.722 0.388
```

Principal peaks in the range 2θ from 10° to 80°, by angle:
2θ/deg	I (rel.)
17.66	100.0
33.12	16.0
33.88	21.0
35.81	17.6
38.42	16.4
41.36	12.7
41.95	22.3
48.55	22.6
54.39	15.9
60.10	12.2

No. 8
Starting from a cell relaxed with GGA+U, the powder diffraction line list of Li7Mn4CoO12 was simulated for Cu Kα (weighted mean of Kα1 and Kα2).

Structure:
```
Li7Mn4CoO12
1.0
2.969 0.000 0.000
-1.131 7.560 0.000
-1.107 -0.518 9.691
Li Mn Co O
7 4 1 12
direct
0.000 0.000 0.000
0.079 0.415 0.747
0.162 0.830 0.494
0.316 0.658 0.990
0.485 0.486 0.505
0.672 0.342 0.991
0.844 0.175 0.501
0.409 0.091 0.742
0.583 0.918 0.248
0.751 0.739 0.751
0.910 0.579 0.247
0.246 0.248 0.246
0.171 0.645 0.639
0.240 0.049 0.362
0.253 0.447 0.130
0.345 0.867 0.853
0.442 0.274 0.629
0.576 0.712 0.367
0.591 0.123 0.130
0.718 0.558 0.865
0.814 0.964 0.640
0.900 0.376 0.362
0.918 0.785 0.130
0.988 0.185 0.855
```

Principal peaks in the range 2θ from 10° to 80°, by angle:
2θ/deg	I (rel.)
18.31	100.0
34.65	19.2
36.40	11.7
36.51	11.4
41.55	33.9
44.30	28.1
44.44	27.2
61.98	8.5
62.71	8.2
65.08	9.2

No. 9
Starting from a cell relaxed with GGA+U, the powder diffraction line list of Li2MnCoO4 was simulated for Cu Kα (weighted mean of Kα1 and Kα2).

Structure:
```
Li2MnCoO4
1.0
4.936 -1.439 0.000
4.936 1.439 0.000
-1.374 0.000 10.498
Li Mn Co O
4 2 2 8
direct
0.000 0.000 0.000
0.000 0.000 0.500
0.498 0.498 0.745
0.502 0.502 0.255
0.246 0.246 0.869
0.754 0.754 0.131
0.256 0.256 0.381
0.744 0.744 0.619
0.127 0.127 0.680
0.141 0.141 0.189
0.364 0.364 0.561
0.366 0.366 0.070
0.634 0.634 0.930
0.636 0.636 0.439
0.859 0.859 0.811
0.873 0.873 0.320
```

Principal peaks in the range 2θ from 10° to 80°, by angle:
2θ/deg	I (rel.)
18.12	100.0
34.17	18.4
36.21	25.7
36.71	9.7
37.36	8.9
41.08	30.7
43.97	50.2
46.87	10.9
57.78	9.1
61.74	30.0

Copy entry 1 word for word.
Starting from a cell relaxed with GGA+U, the powder diffraction line list of Li7Mn2Co3O12 was simulated for Cu Kα (weighted mean of Kα1 and Kα2).

Structure:
```
Li7Mn2Co3O12
1.0
3.031 0.000 0.000
-1.467 6.220 0.000
-1.089 -3.008 11.603
Li Mn Co O
7 2 3 12
direct
0.000 0.000 0.000
0.002 0.002 0.498
0.331 0.667 0.832
0.334 0.668 0.081
0.338 0.674 0.330
0.666 0.333 0.666
0.669 0.337 0.162
0.336 0.672 0.584
0.667 0.331 0.412
0.003 0.007 0.751
0.672 0.348 0.922
0.996 0.987 0.239
0.145 0.334 0.029
0.149 0.346 0.538
0.174 0.311 0.289
0.185 0.320 0.796
0.481 0.012 0.367
0.491 0.027 0.870
0.519 0.001 0.133
0.521 0.995 0.629
0.823 0.687 0.707
0.824 0.638 0.950
0.842 0.698 0.212
0.852 0.656 0.458
```

Principal peaks in the range 2θ from 10° to 80°, by angle:
2θ/deg	I (rel.)
14.73	9.6
18.38	100.0
33.81	20.9
36.49	11.8
36.94	13.9
40.45	38.2
44.50	27.4
45.18	25.3
61.45	9.5
61.93	8.7